Starting from a DFT-relaxed cell (PBE, OQMD), the powder XRD pattern of Ba2TcPdO6 was computed for λ = 1.5418 Å (Cu Kα).

```
Ba2TcPdO6
1.0
3.7146 0.0000 0.0000
0.0000 3.7146 0.0000
0.0000 0.0000 10.8046
Ba Tc Pd O
2 1 1 6
Cartesian
0.0000 0.0000 2.4866 Ba
0.0000 0.0000 8.3181 Ba
1.8573 1.8573 5.4023 Tc
1.8573 1.8573 0.0000 Pd
0.0000 0.0000 0.0000 O
0.0000 0.0000 5.4023 O
0.0000 1.8573 4.2090 O
0.0000 1.8573 6.5957 O
1.8573 0.0000 4.2090 O
1.8573 0.0000 6.5957 O
```

Top 6 peaks for 15 to 90 degrees two-theta, most intense first:
2theta	I_rel
29.18	100
48.33	36
34.14	34
58.09	29
49.05	20
33.17	16


Starting from a DFT-relaxed cell (PBE, OQMD), the powder XRD pattern of BaTePdO was computed for λ = 1.5418 Å (Cu Kα).

```
BaTePdO
1.0
4.1620 0.0000 0.0000
0.0000 4.1620 0.0000
0.0000 0.0000 10.6355
Ba Te Pd O
2 2 2 2
Cartesian
1.0405 1.0405 1.4298 Ba
3.1215 3.1215 9.2057 Ba
1.0405 1.0405 6.9938 Te
3.1215 3.1215 3.6418 Te
1.0405 3.1215 5.3178 Pd
3.1215 1.0405 5.3178 Pd
1.0405 1.0405 9.5519 O
3.1215 3.1215 1.0837 O
```

Top 6 peaks for 15 to 90 degrees two-theta, most intense first:
2theta	I_rel
27.21	100
46.00	51
43.49	39
52.06	34
34.84	29
31.54	27


Starting from a DFT-relaxed cell (PBE, OQMD), the powder XRD pattern of BaTePdO was computed for λ = 1.5418 Å (Cu Kα).

```
BaTePdO
1.0
2.2695 -6.5237 0.0000
2.2695 6.5237 0.0000
0.0000 0.0000 6.5686
Ba Te Pd O
2 2 2 2
Cartesian
2.2695 4.1765 3.2843 Ba
2.2695 -4.1765 0.0000 Ba
2.2695 5.3319 0.0154 Te
2.2695 -5.3319 3.2997 Te
2.2695 0.0130 1.7435 Pd
2.2695 -0.0130 5.0278 Pd
2.2695 1.2594 0.0980 O
2.2695 -1.2594 3.3823 O
```

Top 6 peaks for 15 to 90 degrees two-theta, most intense first:
2theta	I_rel
34.40	100
28.42	81
31.58	57
30.60	47
39.71	39
38.91	28


Please write out number 2 again, unchanged.
Starting from a DFT-relaxed cell (PBE, OQMD), the powder XRD pattern of BaTePdO was computed for λ = 1.5418 Å (Cu Kα).

```
BaTePdO
1.0
4.1620 0.0000 0.0000
0.0000 4.1620 0.0000
0.0000 0.0000 10.6355
Ba Te Pd O
2 2 2 2
Cartesian
1.0405 1.0405 1.4298 Ba
3.1215 3.1215 9.2057 Ba
1.0405 1.0405 6.9938 Te
3.1215 3.1215 3.6418 Te
1.0405 3.1215 5.3178 Pd
3.1215 1.0405 5.3178 Pd
1.0405 1.0405 9.5519 O
3.1215 3.1215 1.0837 O
```

Top 6 peaks for 15 to 90 degrees two-theta, most intense first:
2theta	I_rel
27.21	100
46.00	51
43.49	39
52.06	34
34.84	29
31.54	27


What did the first record say?
Starting from a DFT-relaxed cell (PBE, OQMD), the powder XRD pattern of Ba2TcPdO6 was computed for λ = 1.5418 Å (Cu Kα).

```
Ba2TcPdO6
1.0
3.7146 0.0000 0.0000
0.0000 3.7146 0.0000
0.0000 0.0000 10.8046
Ba Tc Pd O
2 1 1 6
Cartesian
0.0000 0.0000 2.4866 Ba
0.0000 0.0000 8.3181 Ba
1.8573 1.8573 5.4023 Tc
1.8573 1.8573 0.0000 Pd
0.0000 0.0000 0.0000 O
0.0000 0.0000 5.4023 O
0.0000 1.8573 4.2090 O
0.0000 1.8573 6.5957 O
1.8573 0.0000 4.2090 O
1.8573 0.0000 6.5957 O
```

Top 6 peaks for 15 to 90 degrees two-theta, most intense first:
2theta	I_rel
29.18	100
48.33	36
34.14	34
58.09	29
49.05	20
33.17	16